(1)
Calculated powder diffraction line list
Compound: Sr3Cu2SnO6
Radiation: Cu Kα (λ = 1.5418 Å)
Structure: a DFT-relaxed cell (PBE, Alexandria)

Crystal structure
Lattice parameters (Å, degrees): 5.9036 5.9036 6.3961 90.00 90.00 120.00
Space group P-3m1 (No. 164)
Asymmetric unit:
Sr1 0.0000 0.0000 0.0000
Sr2 0.3333 0.6667 0.6285
Cu1 0.3333 0.6667 0.1626
Sn1 0.0000 0.0000 0.5000
O1 0.1643 0.3285 0.3068

Principal peaks in the range 10 to 90 degrees two-theta, in order of falling intensity:
2θ (°), intensity, hkl
30.28, 100.0, 1 1 0
33.04, 73.6, 0 1 2
45.42, 47.1, 2 0 2
55.56, 33.6, 1 2 2
53.79, 19.9, 3 0 0
62.98, 18.1, 2 2 0
72.98, 15.0, 3 1 2
60.68, 14.0, 1 0 4
77.48, 13.8, 2 1 4
13.85, 13.0, 0 0 1
69.31, 10.7, 0 2 4
87.42, 10.4, 4 1 0

***

(2)
Calculated powder diffraction line list
Compound: Sr8Cu8O17
Radiation: Cu Kα (λ = 1.5418 Å)
Structure: a DFT-relaxed cell (PBE, Alexandria)

Crystal structure
Lattice parameters (Å, degrees): 15.829 7.833 8.161 90.00 118.98 90.00
Space group C2/m (No. 12)
Asymmetric unit:
Sr1 0.000 0.249 0.000
Sr2 0.120 0.261 0.500
Sr3 0.250 0.250 0.000
Cu1 0.065 0.000 0.761
Cu2 0.065 0.500 0.762
Cu3 0.184 0.000 0.246
Cu4 0.189 0.500 0.245
O1 0.000 0.500 0.500
O2 0.062 0.000 0.253
O3 0.065 0.500 0.234
O4 0.068 0.246 0.772
O5 0.185 0.000 0.745
O6 0.190 0.250 0.258
O7 0.198 0.500 0.767

Principal peaks in the range 10 to 90 degrees two-theta, in order of falling intensity:
2θ (°), intensity, hkl
33.82, 100.0, 4 0 1
33.98, 99.1, 0 2 2
32.15, 74.9, 4 2 -1
58.29, 39.1, 8 2 0
58.61, 38.3, 4 4 1
45.86, 30.9, 8 0 -2
46.36, 29.8, 0 4 0
51.18, 21.3, 0 0 4
67.27, 17.5, 8 4 -2
89.24, 15.4, 8 4 2
71.14, 14.3, 8 0 2
71.52, 14.2, 0 4 4

***

(3)
Calculated powder diffraction line list
Compound: Sr2YTaCu2O7
Radiation: Cu Kα (λ = 1.5418 Å)
Structure: a DFT-relaxed cell (PBE, Alexandria)

Crystal structure
Lattice parameters (Å, degrees): 7.800 23.869 5.570 90.00 133.15 90.00
Space group Cm (No. 8)
Asymmetric unit:
Sr1 0.000 0.110 0.000
Sr2 0.055 0.389 0.073
Y1 0.071 0.250 0.104
Ta1 0.116 0.000 0.575
Ta2 0.445 0.000 0.490
Cu1 0.050 0.310 0.578
Cu2 0.056 0.189 0.585
O1 0.088 0.000 0.189
O2 0.097 0.432 0.679
O3 0.269 0.317 0.517
O4 0.270 0.182 0.082
O5 0.331 0.311 0.083
O6 0.339 0.191 0.654
O7 0.367 0.000 0.065
O8 0.483 0.430 0.511

Principal peaks in the range 10 to 90 degrees two-theta, in order of falling intensity:
2θ (°), intensity, hkl
32.16, 100.0, 2 0 -2
31.46, 99.0, 2 0 0
26.54, 36.1, 0 4 1
44.61, 26.3, 0 0 2
27.32, 21.3, 2 4 -1
37.69, 18.0, 0 10 0
14.85, 17.6, 0 4 0
37.97, 16.7, 2 8 -1
19.18, 16.6, 1 3 0
44.00, 15.8, 0 10 1
23.12, 15.3, 0 2 1
44.52, 15.1, 2 8 -2

***

(4)
Calculated powder diffraction line list
Compound: Sr3TbCu2O6
Radiation: Cu Kα (λ = 1.5418 Å)
Structure: a DFT-relaxed cell (PBE, Alexandria)

Crystal structure
Lattice parameters (Å, degrees): 6.0793 6.0793 6.4699 90.00 90.00 120.00
Space group P-3m1 (No. 164)
Asymmetric unit:
Sr1 0.0000 0.0000 0.0000
Sr2 0.3333 0.6667 0.6298
Tb1 0.0000 0.0000 0.5000
Cu1 0.3333 0.6667 0.1748
O1 0.1672 0.3343 0.2902

Principal peaks in the range 10 to 90 degrees two-theta, in order of falling intensity:
2θ (°), intensity, hkl
29.38, 100.0, 1 1 0
32.49, 81.1, 0 1 2
44.37, 44.7, 2 0 2
54.11, 36.1, 1 2 2
52.12, 20.2, 3 0 0
60.96, 18.0, 2 2 0
13.69, 17.5, 0 0 1
16.84, 15.3, 1 0 0
70.80, 15.2, 3 1 2
59.82, 13.5, 1 0 4
75.79, 13.5, 2 1 4
85.90, 10.4, 2 3 2

***

Please write out number 1 again, unchanged.
Calculated powder diffraction line list
Compound: Sr3Cu2SnO6
Radiation: Cu Kα (λ = 1.5418 Å)
Structure: a DFT-relaxed cell (PBE, Alexandria)

Crystal structure
Lattice parameters (Å, degrees): 5.9036 5.9036 6.3961 90.00 90.00 120.00
Space group P-3m1 (No. 164)
Asymmetric unit:
Sr1 0.0000 0.0000 0.0000
Sr2 0.3333 0.6667 0.6285
Cu1 0.3333 0.6667 0.1626
Sn1 0.0000 0.0000 0.5000
O1 0.1643 0.3285 0.3068

Principal peaks in the range 10 to 90 degrees two-theta, in order of falling intensity:
2θ (°), intensity, hkl
30.28, 100.0, 1 1 0
33.04, 73.6, 0 1 2
45.42, 47.1, 2 0 2
55.56, 33.6, 1 2 2
53.79, 19.9, 3 0 0
62.98, 18.1, 2 2 0
72.98, 15.0, 3 1 2
60.68, 14.0, 1 0 4
77.48, 13.8, 2 1 4
13.85, 13.0, 0 0 1
69.31, 10.7, 0 2 4
87.42, 10.4, 4 1 0

***

Number 1 is which compound?
Sr3Cu2SnO6